Diffraction record for BaP2WO8. The PXRD pattern is simulated, not measured: it uses a cell relaxed with PBE+U and Cu Kα, 1.54184 Å.

Peak list (6 most intense, 2θ from 10° to 90°, sorted by position)
d [Å]	Position (°2θ)	intensity
4.050	21.95	38.4
3.502	25.43	100.0
2.482	36.19	33.7
2.471	36.36	26.1
2.114	42.78	35.6
1.569	58.85	17.0

Atomic structure:
```
data_BaP2WO8
_space_group_name_H-M_alt 'P 1'
_space_group_IT_number 1
_space_group_name_Hall 'P 1'
_cell_length_a 8.545
_cell_length_b 8.545
_cell_length_c 8.545
_cell_angle_alpha 33.77
_cell_angle_beta 33.77
_cell_angle_gamma 33.77
loop_
_atom_site_label
_atom_site_fract_x
_atom_site_fract_y
_atom_site_fract_z
Ba1 0.000 0.000 0.000
P1 0.243 0.243 0.243
P2 0.757 0.757 0.757
W1 0.500 0.500 0.500
O1 0.096 0.511 0.728
O2 0.272 0.489 0.904
O3 0.306 0.306 0.306
O4 0.489 0.904 0.272
O5 0.511 0.728 0.096
O6 0.694 0.694 0.694
O7 0.728 0.096 0.511
O8 0.904 0.272 0.489
```